Record 1
# ErCr2Si2
Calculated powder diffractogram, Cu Ka. Input: a DFT-relaxed cell (GGA-PBE, the Materials Project).
Neutral-atom scattering factors, no anomalous dispersion.

Structural model:
Unit cell a=3.8336 b=3.8336 c=10.6637 alpha=90.00 beta=90.00 gamma=90.00
Space group I4/mmm (No. 139)
Inequivalent atoms, fractional coordinates:
Er1 0.0000 0.0000 0.0000 x2
Cr1 0.0000 0.5000 0.2500 x4
Si1 0.0000 0.0000 0.3855 x4

Principal peaks in the range 2θ = 10–80°, in order of falling intensity:
two_theta	I/Imax
37.21	100
34.41	61
24.68	53
47.43	34
48.87	27
59.90	25
33.62	20
70.47	18
62.49	17
59.39	15

***

Record 2
# MoPd
Calculated powder diffractogram, Cu Ka. Input: a DFT-relaxed cell (GGA-PBE, the Materials Project).
Neutral-atom scattering factors, no anomalous dispersion.

Structural model:
Unit cell a=2.7939 b=2.7939 c=4.5664 alpha=90.00 beta=90.00 gamma=120.00
Space group P-6m2 (No. 187)
Inequivalent atoms, fractional coordinates:
Mo1 0.0000 0.0000 0.0000 x1
Pd1 0.6667 0.3333 0.5000 x1

Principal peaks in the range 2θ = 10–80°, in order of falling intensity:
two_theta	I/Imax
42.27	100
39.47	27
37.16	24
73.51	19
66.99	16
55.32	15
79.17	3